1.
Structure and calculated powder diffractogram of RbNp4Cu3Se12 (a crystal structure in Alexandria, relaxed with GGA-PBE; Cu Ka).
Lines closer than 0.1° are merged.

Main lines, by intensity (2θ = 10–90°):
43.4°, intensity 100
24.7°, intensity 96
17.4°, intensity 51
39.5°, intensity 46
27.6°, intensity 39
79.7°, intensity 38
35.2°, intensity 36
57.1°, intensity 29
68.8°, intensity 25
32.8°, intensity 21

Crystal structure
```
RbNp4Cu3Se12
1.0
-5.1036 5.1036 5.1036
5.1036 -5.1036 5.1036
5.1036 5.1036 -5.1036
Rb Np Cu Se
1 4 3 12
Direct
0.0000 0.0000 0.0000
0.0000 0.0000 0.5000
0.0000 0.5000 0.0000
0.5000 0.0000 0.0000
0.5000 0.5000 0.5000
0.0000 0.5000 0.5000
0.5000 0.0000 0.5000
0.5000 0.5000 0.0000
0.1554 0.3223 0.8331
0.1669 0.4891 0.3223
0.1669 0.8446 0.6777
0.3223 0.1669 0.4891
0.3223 0.8331 0.1554
0.4891 0.3223 0.1669
0.5109 0.6777 0.8331
0.6777 0.1669 0.8446
0.6777 0.8331 0.5109
0.8331 0.1554 0.3223
0.8331 0.5109 0.6777
0.8446 0.6777 0.1669
```



2.
Structure and calculated powder diffractogram of AgClF2 (a crystal structure in Alexandria, relaxed with GGA-PBE; Cu Ka).
Lines closer than 0.1° are merged.

Main lines, by intensity (2θ = 10–90°):
11.7°, intensity 100
27.9°, intensity 36
23.5°, intensity 30
34.7°, intensity 16
26.9°, intensity 15
40.2°, intensity 13
30.0°, intensity 13
46.8°, intensity 12
35.2°, intensity 11
29.1°, intensity 9

Crystal structure
```
AgClF2
1.0
4.0027 0.0000 0.0000
-1.0507 6.1353 0.0000
-1.2630 -1.7822 7.5650
Ag Cl F
2 2 4
Direct
0.2477 0.2506 0.4966
0.7523 0.7494 0.5034
0.3903 0.9345 0.0886
0.6097 0.0655 0.9114
0.1476 0.8969 0.3822
0.3501 0.5980 0.6193
0.6499 0.4020 0.3807
0.8524 0.1031 0.6178
```



3.
Structure and calculated powder diffractogram of NaAc4Pb2 (a crystal structure in Alexandria, relaxed with GGA-PBE; Cu Ka).
Lines closer than 0.1° are merged.

Main lines, by intensity (2θ = 10–90°):
31.7°, intensity 100
28.6°, intensity 70
52.7°, intensity 50
40.9°, intensity 28
15.4°, intensity 23
58.4°, intensity 20
20.1°, intensity 19
23.1°, intensity 15
83.2°, intensity 14
87.9°, intensity 14

Crystal structure
```
NaAc4Pb2
1.0
-3.1215 3.1215 7.3335
3.1215 -3.1215 7.3335
3.1215 3.1215 -7.3335
Na Ac Pb
1 4 2
Direct
0.0000 0.0000 0.0000
0.0000 0.5000 0.5000
0.2500 0.7500 0.5000
0.5000 0.0000 0.5000
0.7500 0.2500 0.5000
0.3720 0.3720 0.0000
0.6280 0.6280 0.0000
```



4.
Structure and calculated powder diffractogram of Zn7Au2 (a crystal structure in Alexandria, relaxed with GGA-PBE; Cu Ka).
Lines closer than 0.1° are merged.

Main lines, by intensity (2θ = 10–90°):
40.3°, intensity 100
40.9°, intensity 98
25.5°, intensity 37
73.7°, intensity 33
58.8°, intensity 33
73.3°, intensity 16
75.0°, intensity 16
88.8°, intensity 11
87.2°, intensity 11
22.1°, intensity 11

Crystal structure
```
Zn7Au2
1.0
4.4733 0.0000 0.0000
-2.2367 3.8740 0.0000
0.0000 0.0000 8.0433
Zn Au
7 2
Direct
0.0000 0.0000 0.0000
0.0000 0.0000 0.3370
0.0000 0.0000 0.6630
0.3333 0.6667 0.1115
0.3333 0.6667 0.4423
0.6667 0.3333 0.5577
0.6667 0.3333 0.8885
0.3333 0.6667 0.7758
0.6667 0.3333 0.2242
```



5.
Structure and calculated powder diffractogram of Nb2CdGeH (a crystal structure in Alexandria, relaxed with GGA-PBE; Cu Ka).
Lines closer than 0.1° are merged.

Main lines, by intensity (2θ = 10–90°):
33.6°, intensity 100
33.1°, intensity 50
48.2°, intensity 35
47.9°, intensity 35
44.6°, intensity 32
28.5°, intensity 28
37.3°, intensity 24
69.5°, intensity 23
79.4°, intensity 15
56.9°, intensity 15

Crystal structure
```
Nb2CdGeH
1.0
5.3392 0.0000 0.0000
0.0000 5.3392 0.0000
0.0000 0.0000 3.1368
Nb Cd Ge H
2 1 1 1
Direct
0.0000 0.5000 0.0000
0.5000 0.0000 0.0000
0.0000 0.0000 0.0000
0.5000 0.5000 0.5000
0.0000 0.0000 0.5000
```



6.
Structure and calculated powder diffractogram of Pr4SnAs3 (a crystal structure in Alexandria, relaxed with GGA-PBE; Cu Ka).
Lines closer than 0.1° are merged.

Main lines, by intensity (2θ = 10–90°):
28.9°, intensity 100
41.3°, intensity 76
67.8°, intensity 35
51.2°, intensity 27
75.3°, intensity 26
59.8°, intensity 13
24.9°, intensity 10
89.7°, intensity 9
48.8°, intensity 5
65.8°, intensity 2

Crystal structure
```
Pr4SnAs3
1.0
6.1854 0.0000 0.0000
0.0000 6.1854 0.0000
0.0000 0.0000 6.1854
Pr Sn As
4 1 3
Direct
0.0000 0.0000 0.0000
0.0000 0.5000 0.5000
0.5000 0.0000 0.5000
0.5000 0.5000 0.0000
0.5000 0.5000 0.5000
0.0000 0.0000 0.5000
0.0000 0.5000 0.0000
0.5000 0.0000 0.0000
```



7.
Structure and calculated powder diffractogram of Sr6TlN2 (a crystal structure in Alexandria, relaxed with GGA-PBE; Cu Ka).
Lines closer than 0.1° are merged.

Main lines, by intensity (2θ = 10–90°):
28.2°, intensity 100
33.0°, intensity 81
18.0°, intensity 44
40.1°, intensity 37
13.7°, intensity 29
27.6°, intensity 28
27.9°, intensity 23
19.1°, intensity 22
30.3°, intensity 20
31.8°, intensity 19

Crystal structure
```
Sr6TlN2
1.0
6.6347 -2.7193 0.0000
6.6347 2.7193 0.0000
-4.5899 0.0000 8.5472
Sr Tl N
6 1 2
Direct
0.0169 0.0169 0.1748
0.2982 0.2982 0.9306
0.3281 0.3281 0.3731
0.6719 0.6719 0.6269
0.7018 0.7018 0.0694
0.9831 0.9831 0.8252
0.0000 0.0000 0.5000
0.1765 0.1765 0.0835
0.8235 0.8235 0.9165
```



8.
Structure and calculated powder diffractogram of CaMg2Cd2Ga (a crystal structure in Alexandria, relaxed with GGA-PBE; Cu Ka).
Lines closer than 0.1° are merged.

Main lines, by intensity (2θ = 10–90°):
22.8°, intensity 100
32.4°, intensity 74
45.5°, intensity 44
38.9°, intensity 36
15.4°, intensity 34
31.1°, intensity 33
46.5°, intensity 26
57.0°, intensity 22
85.5°, intensity 21
52.4°, intensity 20

Crystal structure
```
CaMg2Cd2Ga
1.0
-2.7619 2.7619 5.7578
2.7619 -2.7619 5.7578
2.7619 2.7619 -5.7578
Ca Mg Cd Ga
1 2 2 1
Direct
0.0000 0.0000 0.0000
0.2500 0.7500 0.5000
0.7500 0.2500 0.5000
0.2749 0.2749 0.0000
0.7251 0.7251 0.0000
0.5000 0.5000 0.0000
```